Entry 1:
This entry pairs a crystal structure of LiCo8O16 with its theoretical PXRD pattern. Radiation: a wavelength of 1.5418 Å. Structure: a GGA+U-relaxed structure.

Structure:
a b c (Å): 6.515 6.543 7.480
angles (deg): 75.95 66.30 69.65
Space group P-1 (No. 2)
Symmetry-distinct sites (fractional):
Li 0.000 0.000 0.000 [1 per cell]
Co 0.068 0.443 0.809 [2 per cell]
Co 0.187 0.313 0.437 [2 per cell]
Co 0.318 0.190 0.061 [2 per cell]
Co 0.441 0.065 0.686 [2 per cell]
O 0.003 0.303 0.073 [2 per cell]
O 0.126 0.183 0.706 [2 per cell]
O 0.128 0.570 0.545 [2 per cell]
O 0.246 0.443 0.177 [2 per cell]
O 0.250 0.056 0.326 [2 per cell]
O 0.369 0.939 0.953 [2 per cell]
O 0.381 0.321 0.796 [2 per cell]
O 0.495 0.809 0.583 [2 per cell]

Most intense lines, 2θ = 10–90°, low angle first:
2θ = 18.0°, I 100
2θ = 37.2°, I 19
2θ = 37.4°, I 9
2θ = 38.9°, I 5
2θ = 44.3°, I 14
2θ = 44.4°, I 14
2θ = 44.6°, I 13
2θ = 57.5°, I 5
2θ = 63.0°, I 7
2θ = 69.2°, I 8



Entry 2:
This entry pairs a crystal structure of Pr2CoRuO6 with its theoretical PXRD pattern. Radiation: a wavelength of 1.5418 Å. Structure: a GGA+U-relaxed structure.

Structure:
a b c (Å): 5.506 5.823 9.572
angles (deg): 90.00 124.80 90.00
Space group P2_1/c (No. 14)
Symmetry-distinct sites (fractional):
Pr 0.231 0.065 0.249 [4 per cell]
Co 0.500 0.000 0.000 [2 per cell]
Ru 0.000 0.000 0.500 [2 per cell]
O 0.140 0.209 0.947 [4 per cell]
O 0.251 0.697 0.952 [4 per cell]
O 0.344 0.027 0.748 [4 per cell]

Most intense lines, 2θ = 10–90°, low angle first:
2θ = 25.0°, I 29
2θ = 30.7°, I 41
2θ = 31.9°, I 100
2θ = 32.0°, I 99
2θ = 32.5°, I 49
2θ = 32.8°, I 20
2θ = 45.3°, I 40
2θ = 46.2°, I 28
2θ = 57.5°, I 33
2θ = 57.8°, I 33



Entry 3:
This entry pairs a crystal structure of CaEuNbWO6 with its theoretical PXRD pattern. Radiation: a wavelength of 1.5418 Å. Structure: a GGA+U-relaxed structure.

Structure:
a b c (Å): 8.204 8.204 8.204
angles (deg): 90.00 90.00 90.00
Space group F-43m (No. 216)
Symmetry-distinct sites (fractional):
Ca 0.000 0.000 0.000 [4 per cell]
Eu 0.000 0.000 0.500 [4 per cell]
Nb 0.250 0.250 0.250 [4 per cell]
W 0.250 0.250 0.750 [4 per cell]
O 0.006 0.250 0.250 [24 per cell]

Most intense lines, 2θ = 10–90°, low angle first:
2θ = 18.7°, I 21
2θ = 21.7°, I 9
2θ = 30.8°, I 100
2θ = 36.3°, I 13
2θ = 44.2°, I 31
2θ = 48.4°, I 6
2θ = 54.8°, I 40
2θ = 64.2°, I 19
2θ = 72.9°, I 17
2θ = 89.4°, I 21



Entry 4:
This entry pairs a crystal structure of Li5V3CuP4O16 with its theoretical PXRD pattern. Radiation: a wavelength of 1.5418 Å. Structure: a GGA+U-relaxed structure.

Structure:
a b c (Å): 9.761 12.212 10.618
angles (deg): 90.00 90.25 90.00
Space group Cm (No. 8)
Symmetry-distinct sites (fractional):
Li 0.000 0.000 0.000 [2 per cell]
Li 0.005 0.130 0.214 [4 per cell]
Li 0.185 0.374 0.614 [4 per cell]
Li 0.216 0.500 0.401 [2 per cell]
Li 0.229 0.134 0.569 [4 per cell]
Li 0.465 0.124 0.080 [4 per cell]
V 0.185 0.500 0.864 [2 per cell]
V 0.202 0.000 0.848 [2 per cell]
V 0.229 0.251 0.299 [4 per cell]
V 0.443 0.253 0.809 [4 per cell]
Cu 0.034 0.000 0.430 [2 per cell]
Cu 0.453 0.000 0.358 [2 per cell]
P 0.010 0.255 0.483 [4 per cell]
P 0.159 0.241 0.987 [4 per cell]
P 0.253 0.500 0.161 [2 per cell]
P 0.262 0.000 0.159 [2 per cell]
P 0.398 0.500 0.681 [2 per cell]
P 0.409 0.000 0.672 [2 per cell]
O 0.055 0.000 0.685 [2 per cell]
O 0.060 0.243 0.622 [4 per cell]
O 0.067 0.500 0.684 [2 per cell]
O 0.071 0.155 0.405 [4 per cell]
O 0.087 0.140 0.919 [4 per cell]
O 0.089 0.356 0.426 [4 per cell]
O 0.091 0.343 0.918 [4 per cell]
O 0.096 0.500 0.161 [2 per cell]
O 0.103 0.000 0.160 [2 per cell]
O 0.107 0.246 0.126 [4 per cell]
O 0.312 0.500 0.026 [2 per cell]
O 0.314 0.239 0.976 [4 per cell]
O 0.314 0.401 0.237 [4 per cell]
O 0.321 0.000 0.023 [2 per cell]
O 0.321 0.103 0.227 [4 per cell]
O 0.331 0.399 0.750 [4 per cell]
O 0.337 0.500 0.546 [2 per cell]
O 0.343 0.103 0.739 [4 per cell]
O 0.353 0.000 0.536 [2 per cell]
O 0.354 0.240 0.472 [4 per cell]

Most intense lines, 2θ = 10–90°, low angle first:
2θ = 16.7°, I 35
2θ = 20.0°, I 89
2θ = 24.8°, I 70
2θ = 24.8°, I 56
2θ = 29.3°, I 100
2θ = 34.5°, I 78
2θ = 34.6°, I 54
2θ = 35.7°, I 51
2θ = 36.9°, I 27
2θ = 50.8°, I 27



Entry 5:
This entry pairs a crystal structure of MgV4O8 with its theoretical PXRD pattern. Radiation: a wavelength of 1.5418 Å. Structure: a GGA+U-relaxed structure.

Structure:
a b c (Å): 5.257 5.258 6.343
angles (deg): 90.23 90.24 114.71
Space group P1 (No. 1)
Symmetry-distinct sites (fractional):
Mg 0.000 0.000 0.000 [1 per cell]
V 0.340 0.661 0.744 [1 per cell]
V 0.343 0.664 0.256 [1 per cell]
V 0.683 0.320 0.000 [1 per cell]
V 0.987 0.018 0.500 [1 per cell]
O 0.073 0.424 0.999 [1 per cell]
O 0.105 0.887 0.731 [1 per cell]
O 0.119 0.900 0.269 [1 per cell]
O 0.123 0.401 0.497 [1 per cell]
O 0.553 0.444 0.788 [1 per cell]
O 0.563 0.454 0.213 [1 per cell]
O 0.578 0.930 0.001 [1 per cell]
O 0.604 0.882 0.503 [1 per cell]

Most intense lines, 2θ = 10–90°, low angle first:
2θ = 23.2°, I 42
2θ = 23.4°, I 43
2θ = 24.5°, I 52
2θ = 31.5°, I 89
2θ = 33.8°, I 93
2θ = 34.0°, I 95
2θ = 34.2°, I 100
2θ = 57.9°, I 37
2θ = 60.4°, I 37
2θ = 60.7°, I 37



Entry 6:
This entry pairs a crystal structure of Li2VCrO4 with its theoretical PXRD pattern. Radiation: a wavelength of 1.5418 Å. Structure: a GGA+U-relaxed structure.

Structure:
a b c (Å): 5.167 6.014 7.880
angles (deg): 101.30 96.54 106.63
Space group P-1 (No. 2)
Symmetry-distinct sites (fractional):
Li 0.001 0.255 0.498 [2 per cell]
Li 0.001 0.417 0.167 [2 per cell]
Li 0.002 0.082 0.835 [2 per cell]
V 0.499 0.165 0.667 [2 per cell]
V 0.500 0.000 0.000 [1 per cell]
Cr 0.499 0.337 0.333 [2 per cell]
Cr 0.500 0.500 0.000 [1 per cell]
O 0.271 0.222 0.087 [2 per cell]
O 0.273 0.872 0.754 [2 per cell]
O 0.274 0.547 0.421 [2 per cell]
O 0.275 0.050 0.418 [2 per cell]
O 0.275 0.716 0.084 [2 per cell]
O 0.276 0.379 0.752 [2 per cell]

Most intense lines, 2θ = 10–90°, low angle first:
2θ = 18.2°, I 100
2θ = 35.0°, I 14
2θ = 35.2°, I 13
2θ = 35.4°, I 13
2θ = 42.5°, I 29
2θ = 42.8°, I 28
2θ = 43.1°, I 28
2θ = 46.9°, I 12
2θ = 62.1°, I 15
2θ = 62.4°, I 15



Entry 7:
This entry pairs a crystal structure of Li2CoNi3O8 with its theoretical PXRD pattern. Radiation: a wavelength of 1.5418 Å. Structure: a GGA+U-relaxed structure.

Structure:
a b c (Å): 8.038 8.078 8.146
angles (deg): 89.86 89.70 89.29
Space group P1 (No. 1)
Symmetry-distinct sites (fractional):
Li 0.000 0.000 0.000 [1 per cell]
Li 0.004 0.505 0.502 [1 per cell]
Li 0.245 0.751 0.745 [1 per cell]
Li 0.255 0.256 0.243 [1 per cell]
Li 0.501 0.500 0.004 [1 per cell]
Li 0.507 0.008 0.502 [1 per cell]
Li 0.748 0.250 0.743 [1 per cell]
Li 0.754 0.753 0.245 [1 per cell]
Co 0.128 0.129 0.622 [1 per cell]
Co 0.377 0.877 0.124 [1 per cell]
Co 0.630 0.381 0.373 [1 per cell]
Co 0.870 0.623 0.872 [1 per cell]
Ni 0.123 0.374 0.873 [1 per cell]
Ni 0.125 0.627 0.123 [1 per cell]
Ni 0.131 0.884 0.374 [1 per cell]
Ni 0.372 0.124 0.872 [1 per cell]
Ni 0.375 0.379 0.624 [1 per cell]
Ni 0.380 0.633 0.375 [1 per cell]
Ni 0.621 0.873 0.872 [1 per cell]
Ni 0.623 0.628 0.625 [1 per cell]
Ni 0.628 0.127 0.123 [1 per cell]
Ni 0.876 0.879 0.623 [1 per cell]
Ni 0.877 0.376 0.121 [1 per cell]
Ni 0.883 0.133 0.372 [1 per cell]
O 0.107 0.605 0.875 [1 per cell]
O 0.108 0.380 0.102 [1 per cell]
O 0.114 0.895 0.605 [1 per cell]
O 0.119 0.117 0.386 [1 per cell]
O 0.138 0.139 0.857 [1 per cell]
O 0.142 0.365 0.641 [1 per cell]
O 0.147 0.651 0.371 [1 per cell]
O 0.147 0.876 0.144 [1 per cell]
O 0.357 0.356 0.873 [1 per cell]
O 0.364 0.137 0.643 [1 per cell]
O 0.367 0.869 0.360 [1 per cell]
O 0.376 0.649 0.146 [1 per cell]
O 0.383 0.108 0.103 [1 per cell]
O 0.385 0.889 0.886 [1 per cell]
O 0.389 0.623 0.606 [1 per cell]
O 0.392 0.402 0.376 [1 per cell]
O 0.606 0.105 0.874 [1 per cell]
O 0.608 0.881 0.102 [1 per cell]
O 0.609 0.396 0.609 [1 per cell]
O 0.614 0.620 0.392 [1 per cell]
O 0.631 0.639 0.857 [1 per cell]
O 0.638 0.860 0.641 [1 per cell]
O 0.646 0.372 0.142 [1 per cell]
O 0.650 0.147 0.371 [1 per cell]
O 0.854 0.857 0.871 [1 per cell]
O 0.855 0.631 0.641 [1 per cell]
O 0.870 0.367 0.355 [1 per cell]
O 0.871 0.144 0.141 [1 per cell]
O 0.877 0.606 0.104 [1 per cell]
O 0.888 0.385 0.888 [1 per cell]
O 0.893 0.126 0.601 [1 per cell]
O 0.898 0.900 0.374 [1 per cell]

Most intense lines, 2θ = 10–90°, low angle first:
2θ = 18.9°, I 100
2θ = 19.1°, I 87
2θ = 36.7°, I 31
2θ = 37.0°, I 21
2θ = 37.2°, I 15
2θ = 44.5°, I 33
2θ = 44.9°, I 32
2θ = 45.1°, I 31
2θ = 65.0°, I 19
2θ = 65.1°, I 18